The following is a theoretical X-ray diffraction stick pattern of Cs2Pb2Au3. It was derived from the GGA-PBE geometry in Alexandria, using λ = 1.5418 Å (Cu Kα).

Main lines, sorted by position (10° ≤ 2θ ≤ 80°):
12.09 deg, intensity 48, (1 0 0); 14.95 deg, intensity 77, (0 1 1); 24.89 deg, intensity 49, (2 1 -1); 26.61 deg, intensity 52, (2 1 0); 28.65 deg, intensity 100, (1 2 1); 31.22 deg, intensity 46, (1 1 -3); 36.53 deg, intensity 41, (1 2 -3); 51.04 deg, intensity 41, (2 4 -2)

Structure:
abc: 7.9347 8.3151 9.1549
angles: 90.00 112.71 90.00
Positions (direct):
Cs (0.1967, 0.1214, 0.4132)
Cs (0.1967, 0.3786, 0.9132)
Cs (0.8033, 0.6214, 0.0868)
Cs (0.8033, 0.8786, 0.5868)
Pb (0.3388, 0.6320, 0.5403)
Pb (0.3388, 0.8680, 0.0403)
Pb (0.6612, 0.1320, 0.9597)
Pb (0.6612, 0.3680, 0.4597)
Au (0.0000, 0.0000, 0.0000)
Au (0.0000, 0.5000, 0.5000)
Au (0.4518, 0.6325, 0.2780)
Au (0.4518, 0.8675, 0.7780)
Au (0.5482, 0.1325, 0.2220)
Au (0.5482, 0.3675, 0.7220)